1.
The following is a theoretical powder diffraction line list of Gd2AlCo2. It was derived from a DFT-relaxed cell (PBE, the Materials Project), using Cu Kα.
Intensities are scaled so that the largest is 100.

The 6 most intense peaks (2θ from 10° to 90°), sorted by position:
- 27.58°, I = 72, (1 1 0)
- 34.78°, I = 100, (1 1 2)
- 35.42°, I = 36, (0 1 3)
- 38.80°, I = 99, (1 0 3)
- 41.09°, I = 41, (1 2 1)
- 68.68°, I = 31, (1 2 5)

Atomic structure:
a b c (Å): 3.986 5.534 8.552
angles (deg): 90.00 90.00 90.00
Space group Immm (No. 71)
Symmetry-distinct sites (fractional):
Gd1 0.000 0.000 0.201 (multiplicity 4)
Al1 0.000 0.500 0.000 (multiplicity 2)
Co1 0.000 0.273 0.500 (multiplicity 4)


2.
The following is a theoretical powder diffraction line list of Gd2Al4CoGe2. It was derived from a DFT-relaxed cell (PBE, the Materials Project), using Cu Kα.
Intensities are scaled so that the largest is 100.

The 6 most intense peaks (2θ from 10° to 90°), sorted by position:
- 27.26°, I = 36, (0 0 6)
- 30.48°, I = 67, (1 1 0)
- 31.38°, I = 57, (1 0 5)
- 31.85°, I = 57, (1 1 2)
- 41.35°, I = 100, (1 1 6)
- 43.65°, I = 58, (2 0 0)

Atomic structure:
a b c (Å): 4.148 4.148 19.628
angles (deg): 90.00 90.00 90.00
Space group I4/mmm (No. 139)
Symmetry-distinct sites (fractional):
Gd1 0.000 0.000 0.184 (multiplicity 4)
Al1 0.000 0.500 0.065 (multiplicity 8)
Co1 0.000 0.000 0.000 (multiplicity 2)
Ge1 0.000 0.000 0.338 (multiplicity 4)


3.
The following is a theoretical powder diffraction line list of Hf6Al2Co. It was derived from a DFT-relaxed cell (PBE, the Materials Project), using Cu Kα.
Intensities are scaled so that the largest is 100.

The 6 most intense peaks (2θ from 10° to 90°), sorted by position:
- 22.54°, I = 25, (1 1 0)
- 34.74°, I = 73, (2 1 0)
- 35.64°, I = 100, (1 1 1)
- 38.08°, I = 46, (2 0 1)
- 39.57°, I = 24, (3 0 0)
- 66.09°, I = 26, (3 2 1)

Atomic structure:
a b c (Å): 7.8896 7.8896 3.2728
angles (deg): 90.00 90.00 120.00
Space group P-62m (No. 189)
Symmetry-distinct sites (fractional):
Hf1 0.0000 0.3987 0.0000 (multiplicity 3)
Hf2 0.0000 0.7492 0.5000 (multiplicity 3)
Al1 0.3333 0.6667 0.5000 (multiplicity 2)
Co1 0.0000 0.0000 0.0000 (multiplicity 1)


4.
The following is a theoretical powder diffraction line list of Hf2Al3Co. It was derived from a DFT-relaxed cell (PBE, the Materials Project), using Cu Kα.
Intensities are scaled so that the largest is 100.

The 6 most intense peaks (2θ from 10° to 90°), sorted by position:
- 21.59°, I = 38, (0 0 2)
- 22.41°, I = 31, (1 0 1)
- 34.30°, I = 100, (1 1 0)
- 38.35°, I = 89, (1 0 3)
- 40.89°, I = 97, (1 1 2)
- 64.12°, I = 40, (2 1 3)

Atomic structure:
a b c (Å): 5.2293 5.2293 8.2324
angles (deg): 90.00 90.00 120.00
Space group P6_3/mmc (No. 194)
Symmetry-distinct sites (fractional):
Hf1 0.3333 0.6667 0.0607 (multiplicity 4)
Al1 0.1658 0.3317 0.7500 (multiplicity 6)
Co1 0.0000 0.0000 0.0000 (multiplicity 2)


5.
The following is a theoretical powder diffraction line list of Ho2Al3Co14. It was derived from a DFT-relaxed cell (PBE, the Materials Project), using Cu Kα.
Intensities are scaled so that the largest is 100.

The 6 most intense peaks (2θ from 10° to 90°), sorted by position:
- 30.67°, I = 36, (1 1 2)
- 37.33°, I = 50, (3 0 0)
- 41.60°, I = 34, (2 0 3)
- 43.38°, I = 50, (2 2 0)
- 43.66°, I = 100, (3 0 2)
- 44.47°, I = 28, (0 0 4)

Atomic structure:
a b c (Å): 8.3436 8.3436 8.1483
angles (deg): 90.00 90.00 120.00
Space group P6_3/mmc (No. 194)
Symmetry-distinct sites (fractional):
Ho1 0.0000 0.0000 0.2500 (multiplicity 2)
Ho2 0.3333 0.6667 0.2500 (multiplicity 2)
Al1 0.0000 0.5000 0.0000 (multiplicity 6)
Co1 0.0444 0.3711 0.7500 (multiplicity 12)
Co2 0.1626 0.3252 0.0148 (multiplicity 12)
Co3 0.3333 0.6667 0.6101 (multiplicity 4)


6.
The following is a theoretical powder diffraction line list of Al2CoIr. It was derived from a DFT-relaxed cell (PBE, the Materials Project), using Cu Kα.
Intensities are scaled so that the largest is 100.

The 6 most intense peaks (2θ from 10° to 90°), sorted by position:
- 26.14°, I = 43, (1 1 1)
- 30.28°, I = 55, (2 0 0)
- 43.35°, I = 100, (2 2 0)
- 51.32°, I = 22, (3 1 1)
- 71.45°, I = 19, (4 2 0)
- 79.53°, I = 33, (4 2 2)

Atomic structure:
a b c (Å): 5.904 5.904 5.904
angles (deg): 90.00 90.00 90.00
Space group Fm-3m (No. 225)
Symmetry-distinct sites (fractional):
Al1 0.250 0.250 0.250 (multiplicity 8)
Co1 0.000 0.000 0.000 (multiplicity 4)
Ir1 0.000 0.000 0.500 (multiplicity 4)


7.
The following is a theoretical powder diffraction line list of La3AlCoS7. It was derived from a DFT-relaxed cell (PBE, the Materials Project), using Cu Kα.
Intensities are scaled so that the largest is 100.

The 6 most intense peaks (2θ from 10° to 90°), sorted by position:
- 17.93°, I = 40, (1 0 1)
- 25.13°, I = 100, (2 0 1)
- 26.81°, I = 38, (1 2 0)
- 34.05°, I = 39, (3 0 1)
- 36.31°, I = 45, (2 0 2)
- 39.90°, I = 47, (3 1 1)

Atomic structure:
a b c (Å): 10.1582 10.1582 5.9844
angles (deg): 90.00 90.00 120.00
Space group P6_3 (No. 173)
Symmetry-distinct sites (fractional):
La1 0.1401 0.3710 0.0000 (multiplicity 6)
Al1 0.3333 0.6667 0.4207 (multiplicity 2)
Co1 0.0000 0.0000 0.2844 (multiplicity 2)
S1 0.0841 0.2200 0.5420 (multiplicity 6)
S2 0.0995 0.5811 0.2770 (multiplicity 6)
S3 0.3333 0.6667 0.7903 (multiplicity 2)


8.
The following is a theoretical powder diffraction line list of LuAlCo. It was derived from a DFT-relaxed cell (PBE, the Materials Project), using Cu Kα.
Intensities are scaled so that the largest is 100.

The 6 most intense peaks (2θ from 10° to 90°), sorted by position:
- 33.64°, I = 39, (0 2 0)
- 34.13°, I = 61, (0 1 3)
- 37.86°, I = 100, (3 1 1)
- 38.01°, I = 39, (3 0 2)
- 40.61°, I = 86, (2 1 3)
- 40.76°, I = 45, (1 2 2)

Atomic structure:
a b c (Å): 8.331 5.329 9.057
angles (deg): 90.00 90.00 90.00
Space group Amm2 (No. 38)
Symmetry-distinct sites (fractional):
Lu1 0.175 0.000 0.000 (multiplicity 4)
Lu2 0.297 0.000 0.337 (multiplicity 4)
Al1 0.229 0.000 0.675 (multiplicity 4)
Al2 0.500 0.247 0.083 (multiplicity 4)
Co1 0.000 0.000 0.495 (multiplicity 2)
Co2 0.000 0.234 0.261 (multiplicity 4)
Co3 0.500 0.000 0.837 (multiplicity 2)


9.
The following is a theoretical powder diffraction line list of Lu2AlCo3. It was derived from a DFT-relaxed cell (PBE, the Materials Project), using Cu Kα.
Intensities are scaled so that the largest is 100.

The 6 most intense peaks (2θ from 10° to 90°), sorted by position:
- 21.01°, I = 51, (1 0 1)
- 34.17°, I = 68, (1 1 0)
- 36.90°, I = 82, (1 0 4)
- 40.45°, I = 70, (0 2 1)
- 41.66°, I = 100, (1 1 3)
- 62.97°, I = 35, (2 1 4)

Atomic structure:
a b c (Å): 5.2486 5.2486 11.5424
angles (deg): 90.00 90.00 120.00
Space group R-3m (No. 166, hexagonal axes)
Symmetry-distinct sites (fractional):
Lu1 0.0000 0.0000 0.1287 (multiplicity 6)
Al1 0.0000 0.0000 0.5000 (multiplicity 3)
Co1 0.0000 0.5000 0.0000 (multiplicity 9)


10.
The following is a theoretical powder diffraction line list of Mg16Al12Co. It was derived from a DFT-relaxed cell (PBE, the Materials Project), using Cu Kα.
Intensities are scaled so that the largest is 100.

The 6 most intense peaks (2θ from 10° to 90°), sorted by position:
- 34.29°, I = 32, (0 4 2)
- 36.13°, I = 64, (3 0 3)
- 36.48°, I = 64, (2 3 2)
- 36.71°, I = 100, (0 5 1)
- 40.54°, I = 34, (5 0 2)
- 40.73°, I = 34, (5 1 1)

Atomic structure:
a b c (Å): 14.6717 14.6717 9.2109
angles (deg): 90.00 90.00 120.00
Space group R3m (No. 160, hexagonal axes)
Symmetry-distinct sites (fractional):
Mg1 0.0000 0.0000 0.0000 (multiplicity 3)
Mg2 0.0150 0.3089 0.2926 (multiplicity 18)
Mg3 0.0618 0.5309 0.2021 (multiplicity 9)
Mg4 0.1781 0.0891 0.5065 (multiplicity 9)
Mg5 0.2161 0.4322 0.7716 (multiplicity 9)
Al1 0.0007 0.1788 0.8038 (multiplicity 18)
Al2 0.0632 0.1265 0.2781 (multiplicity 9)
Al3 0.0764 0.5382 0.7168 (multiplicity 9)
Co1 0.0000 0.0000 0.7239 (multiplicity 3)


11.
The following is a theoretical powder diffraction line list of Mg14AlCo. It was derived from a DFT-relaxed cell (PBE, the Materials Project), using Cu Kα.
Intensities are scaled so that the largest is 100.

The 6 most intense peaks (2θ from 10° to 90°), sorted by position:
- 33.24°, I = 25, (0 0 4)
- 36.23°, I = 24, (4 0 0)
- 37.99°, I = 100, (2 2 2)
- 59.39°, I = 17, (0 4 0)
- 66.33°, I = 16, (6 2 2)
- 71.58°, I = 18, (4 4 0)

Atomic structure:
a b c (Å): 9.918 6.220 10.792
angles (deg): 90.00 90.00 90.00
Space group Amm2 (No. 38)
Symmetry-distinct sites (fractional):
Mg1 0.000 0.000 0.000 (multiplicity 2)
Mg2 0.000 0.000 0.498 (multiplicity 2)
Mg3 0.000 0.247 0.252 (multiplicity 4)
Mg4 0.248 0.000 0.666 (multiplicity 4)
Mg5 0.260 0.000 0.162 (multiplicity 4)
Mg6 0.270 0.243 0.921 (multiplicity 8)
Mg7 0.500 0.248 0.744 (multiplicity 4)
Al1 0.500 0.000 0.506 (multiplicity 2)
Co1 0.500 0.000 0.003 (multiplicity 2)


12.
The following is a theoretical powder diffraction line list of Mg14AlCo. It was derived from a DFT-relaxed cell (PBE, the Materials Project), using Cu Kα.
Intensities are scaled so that the largest is 100.

The 6 most intense peaks (2θ from 10° to 90°), sorted by position:
- 33.03°, I = 25, (2 0 0)
- 36.52°, I = 24, (0 0 4)
- 37.88°, I = 100, (2 0 2)
- 58.99°, I = 17, (2 2 0)
- 66.63°, I = 17, (2 0 6)
- 71.41°, I = 18, (2 2 4)

Atomic structure:
a b c (Å): 6.2632 6.2632 9.8416
angles (deg): 90.00 90.00 120.00
Space group P-6m2 (No. 187)
Symmetry-distinct sites (fractional):
Mg1 0.0000 0.0000 0.2478 (multiplicity 2)
Mg2 0.0166 0.5083 0.2604 (multiplicity 6)
Mg3 0.3296 0.1648 0.5000 (multiplicity 3)
Mg4 0.3348 0.1674 0.0000 (multiplicity 3)
Al1 0.3333 0.6667 0.0000 (multiplicity 1)
Co1 0.3333 0.6667 0.5000 (multiplicity 1)


Question: Which formula does entry 5 have?
Answer: Ho2Al3Co14


Question: What is the formula in the fourth record?
Answer: Hf2Al3Co